Entry 1:
For Os3C12I2O12, the PBE geometry in OQMD gives the calculated powder diffraction line list in this record (copper Kα).

Atomic structure:
```
Os3C12I2O12
1.0
9.052 0.000 0.000
0.000 11.219 0.000
-7.253 0.000 9.899
Os C I O
6 24 4 24
direct
0.000 0.000 0.000 Os
0.000 0.500 0.500 Os
0.268 0.150 0.228 Os
0.268 0.350 0.728 Os
0.732 0.650 0.272 Os
0.732 0.850 0.772 Os
0.049 0.208 0.207 C
0.049 0.292 0.707 C
0.124 0.031 0.917 C
0.124 0.469 0.417 C
0.157 0.638 0.592 C
0.157 0.862 0.092 C
0.296 0.019 0.336 C
0.296 0.481 0.836 C
0.436 0.249 0.877 C
0.436 0.251 0.377 C
0.449 0.092 0.201 C
0.449 0.408 0.701 C
0.551 0.592 0.299 C
0.551 0.908 0.799 C
0.564 0.749 0.623 C
0.564 0.751 0.123 C
0.704 0.519 0.164 C
0.704 0.981 0.664 C
0.843 0.138 0.908 C
0.843 0.362 0.408 C
0.876 0.531 0.583 C
0.876 0.969 0.083 C
0.951 0.708 0.293 C
0.951 0.792 0.793 C
0.214 0.160 0.561 I
0.214 0.340 0.061 I
0.786 0.660 0.939 I
0.786 0.840 0.439 I
0.081 0.743 0.308 O
0.081 0.757 0.808 O
0.194 0.048 0.864 O
0.194 0.452 0.364 O
0.253 0.719 0.649 O
0.253 0.781 0.149 O
0.313 0.559 0.904 O
0.313 0.941 0.404 O
0.447 0.561 0.318 O
0.447 0.939 0.818 O
0.462 0.689 0.532 O
0.462 0.811 0.032 O
0.538 0.189 0.968 O
0.538 0.311 0.468 O
0.553 0.061 0.182 O
0.553 0.439 0.682 O
0.687 0.059 0.596 O
0.687 0.441 0.096 O
0.747 0.219 0.851 O
0.747 0.281 0.351 O
0.806 0.548 0.636 O
0.806 0.952 0.136 O
0.919 0.243 0.192 O
0.919 0.257 0.692 O
```

Most intense lines, 5° ≤ 2θ ≤ 70°, in order of falling intensity:
- 14.5°, rel. 100.0
- 12.7°, rel. 54.8
- 31.5°, rel. 32.3
- 32.7°, rel. 25.9
- 30.6°, rel. 19.2
- 28.3°, rel. 18.2
- 19.9°, rel. 16.9
- 31.2°, rel. 14.7


Entry 2:
For Co5Mo2Os, the PBE geometry in OQMD gives the calculated powder diffraction line list in this record (copper Kα).

Atomic structure:
```
Co5Mo2Os
1.0
4.132 0.000 0.000
0.000 2.599 4.496
0.000 -2.599 4.496
Co Mo Os
5 2 1
direct
0.000 0.000 0.000 Co
0.000 0.488 0.992 Co
0.000 0.992 0.488 Co
0.500 0.322 0.837 Co
0.500 0.837 0.322 Co
0.000 0.501 0.501 Mo
0.500 0.831 0.831 Mo
0.500 0.322 0.322 Os
```

Most intense lines, 5° ≤ 2θ ≤ 70°, in order of falling intensity:
- 45.9°, rel. 100.0
- 40.1°, rel. 27.1
- 43.8°, rel. 25.5
- 29.4°, rel. 16.6
- 19.7°, rel. 15.7
- 60.9°, rel. 15.3
- 41.0°, rel. 6.1
- 21.5°, rel. 5.1


Entry 3:
For Cu5I7, the PBE geometry in OQMD gives the calculated powder diffraction line list in this record (copper Kα).

Atomic structure:
```
Cu5I7
1.0
6.626 -2.974 0.000
6.626 2.974 0.000
-1.351 0.000 9.230
Cu I
5 7
direct
0.000 0.000 0.000 Cu
0.131 0.150 0.430 Cu
0.287 0.285 0.857 Cu
0.715 0.713 0.143 Cu
0.850 0.869 0.570 Cu
0.046 0.533 0.357 I
0.187 0.676 0.783 I
0.324 0.813 0.217 I
0.467 0.954 0.643 I
0.603 0.115 0.078 I
0.739 0.261 0.500 I
0.885 0.397 0.922 I
```

Most intense lines, 5° ≤ 2θ ≤ 70°, in order of falling intensity:
- 43.2°, rel. 100.0
- 26.1°, rel. 95.4
- 26.0°, rel. 93.6
- 51.1°, rel. 28.8
- 51.0°, rel. 28.6
- 51.3°, rel. 27.8
- 30.2°, rel. 20.1
- 43.4°, rel. 19.7


Entry 4:
For GeAu7, the PBE geometry in OQMD gives the calculated powder diffraction line list in this record (copper Kα).

Atomic structure:
```
GeAu7
1.0
2.920 0.000 0.000
0.000 4.137 0.000
0.000 0.000 38.414
Ge Au
2 14
direct
0.250 0.250 0.213 Ge
0.750 0.750 0.787 Ge
0.250 0.250 0.286 Au
0.250 0.250 0.364 Au
0.250 0.250 0.442 Au
0.250 0.250 0.519 Au
0.250 0.250 0.597 Au
0.250 0.250 0.675 Au
0.250 0.250 0.757 Au
0.750 0.750 0.243 Au
0.750 0.750 0.325 Au
0.750 0.750 0.403 Au
0.750 0.750 0.481 Au
0.750 0.750 0.558 Au
0.750 0.750 0.636 Au
0.750 0.750 0.714 Au
```

Most intense lines, 5° ≤ 2θ ≤ 70°, in order of falling intensity:
- 37.7°, rel. 100.0
- 37.4°, rel. 61.9
- 43.6°, rel. 40.5
- 35.5°, rel. 33.1
- 43.8°, rel. 33.1
- 63.5°, rel. 26.8
- 6.9°, rel. 23.0
- 41.9°, rel. 21.1


Entry 5:
For DyTmFe2Ge2C, the PBE geometry in OQMD gives the calculated powder diffraction line list in this record (copper Kα).

Atomic structure:
```
DyTmFe2Ge2C
1.0
5.319 -1.976 0.000
5.319 1.976 0.000
-4.214 0.000 5.302
Dy Tm Fe Ge C
1 1 2 2 1
direct
0.000 0.000 0.000 Dy
0.886 0.886 0.424 Tm
0.245 0.245 0.620 Fe
0.638 0.638 0.800 Fe
0.280 0.280 0.003 Ge
0.605 0.605 0.419 Ge
0.441 0.441 0.707 C
```

Most intense lines, 5° ≤ 2θ ≤ 70°, in order of falling intensity:
- 36.4°, rel. 100.0
- 33.8°, rel. 83.6
- 34.1°, rel. 61.8
- 39.7°, rel. 60.8
- 36.7°, rel. 48.8
- 35.2°, rel. 47.1
- 45.9°, rel. 46.7
- 24.9°, rel. 40.3


Entry 6:
For YTl2Cd, the PBE geometry in OQMD gives the calculated powder diffraction line list in this record (copper Kα).

Atomic structure:
```
YTl2Cd
1.0
0.000 3.771 3.771
3.771 0.000 3.771
3.771 3.771 0.000
Y Tl Cd
1 2 1
direct
0.000 0.000 0.000 Y
0.500 0.500 0.500 Tl
0.750 0.750 0.750 Tl
0.250 0.250 0.250 Cd
```

Most intense lines, 5° ≤ 2θ ≤ 70°, in order of falling intensity:
- 33.6°, rel. 100.0
- 60.1°, rel. 37.6
- 48.3°, rel. 18.1
- 20.4°, rel. 11.3
- 39.6°, rel. 6.7
- 52.9°, rel. 3.1
- 64.2°, rel. 2.4


Entry 7:
For ZrTlTe2PdSe, the PBE geometry in OQMD gives the calculated powder diffraction line list in this record (copper Kα).

Atomic structure:
```
ZrTlTe2PdSe
1.0
8.539 0.000 0.000
0.000 3.898 0.000
-4.017 0.000 10.132
Zr Tl Te Pd Se
2 2 4 2 2
direct
0.223 0.250 0.178 Zr
0.777 0.750 0.822 Zr
0.236 0.750 0.715 Tl
0.764 0.250 0.285 Tl
0.062 0.250 0.881 Te
0.237 0.250 0.446 Te
0.763 0.750 0.554 Te
0.938 0.750 0.119 Te
0.419 0.750 0.390 Pd
0.581 0.250 0.610 Pd
0.424 0.750 0.154 Se
0.576 0.250 0.846 Se
```

Most intense lines, 5° ≤ 2θ ≤ 70°, in order of falling intensity:
- 31.1°, rel. 100.0
- 28.6°, rel. 73.5
- 35.6°, rel. 52.1
- 46.6°, rel. 49.0
- 27.0°, rel. 35.7
- 33.8°, rel. 30.9
- 32.2°, rel. 27.2
- 32.9°, rel. 26.7


Entry 8:
For ZnCu2SnS4, the PBE geometry in OQMD gives the calculated powder diffraction line list in this record (copper Kα).

Atomic structure:
```
ZnCu2SnS4
1.0
7.670 0.000 0.000
0.000 6.646 0.000
0.000 0.000 6.344
Zn Cu Sn S
2 4 2 8
direct
0.000 0.163 0.000 Zn
0.500 0.837 0.500 Zn
0.249 0.331 0.505 Cu
0.251 0.669 0.005 Cu
0.749 0.669 0.005 Cu
0.751 0.331 0.505 Cu
0.000 0.834 0.501 Sn
0.500 0.166 0.001 Sn
0.000 0.182 0.372 S
0.000 0.825 0.889 S
0.242 0.346 0.867 S
0.258 0.654 0.367 S
0.500 0.175 0.389 S
0.500 0.818 0.872 S
0.742 0.654 0.367 S
0.758 0.346 0.867 S
```

Most intense lines, 5° ≤ 2θ ≤ 70°, in order of falling intensity:
- 30.4°, rel. 100.0
- 26.8°, rel. 75.7
- 51.2°, rel. 63.2
- 47.4°, rel. 59.4
- 28.1°, rel. 50.9
- 56.0°, rel. 41.8
- 39.3°, rel. 30.7
- 57.3°, rel. 16.7


Entry 9:
For Ba8Ni6N7, the PBE geometry in OQMD gives the calculated powder diffraction line list in this record (copper Kα).

Atomic structure:
```
Ba8Ni6N7
1.0
4.769 -8.339 0.000
4.769 8.339 0.000
-3.555 0.000 11.560
Ba Ni N
16 12 14
direct
0.083 0.917 0.750 Ba
0.115 0.296 0.598 Ba
0.232 0.637 0.897 Ba
0.248 0.752 0.250 Ba
0.296 0.115 0.098 Ba
0.363 0.768 0.603 Ba
0.382 0.446 0.357 Ba
0.446 0.382 0.857 Ba
0.554 0.618 0.143 Ba
0.618 0.554 0.643 Ba
0.637 0.232 0.397 Ba
0.704 0.885 0.902 Ba
0.752 0.248 0.750 Ba
0.768 0.363 0.103 Ba
0.885 0.704 0.402 Ba
0.917 0.083 0.250 Ba
0.041 0.457 0.367 Ni
0.060 0.218 0.886 Ni
0.128 0.365 0.100 Ni
0.218 0.060 0.386 Ni
0.365 0.128 0.600 Ni
0.457 0.041 0.867 Ni
0.543 0.959 0.133 Ni
0.635 0.872 0.400 Ni
0.782 0.940 0.614 Ni
0.872 0.635 0.900 Ni
0.940 0.782 0.114 Ni
0.959 0.543 0.633 Ni
0.000 0.500 0.500 N
0.069 0.407 0.228 N
0.085 0.915 0.250 N
0.249 0.363 0.000 N
0.363 0.249 0.500 N
0.406 0.594 0.750 N
0.407 0.069 0.728 N
0.500 0.000 0.000 N
0.593 0.931 0.272 N
0.594 0.406 0.250 N
0.637 0.751 0.500 N
0.751 0.637 0.000 N
0.915 0.085 0.750 N
0.931 0.593 0.772 N
```

Most intense lines, 5° ≤ 2θ ≤ 70°, in order of falling intensity:
- 29.4°, rel. 100.0
- 27.5°, rel. 85.9
- 28.5°, rel. 80.5
- 31.5°, rel. 77.4
- 28.3°, rel. 76.3
- 32.1°, rel. 68.8
- 32.5°, rel. 52.2
- 30.1°, rel. 41.0


Entry 10:
For LiTa3Co4Sb4, the PBE geometry in OQMD gives the calculated powder diffraction line list in this record (copper Kα).

Atomic structure:
```
LiTa3Co4Sb4
1.0
-2.971 2.971 5.908
2.971 -2.971 5.908
2.971 2.971 -5.908
Li Ta Co Sb
1 3 4 4
direct
0.000 0.000 0.000 Li
0.250 0.750 0.500 Ta
0.500 0.500 0.000 Ta
0.750 0.250 0.500 Ta
0.134 0.134 0.530 Co
0.396 0.866 0.000 Co
0.604 0.604 0.470 Co
0.866 0.396 0.000 Co
0.000 0.500 0.500 Sb
0.238 0.238 0.000 Sb
0.500 0.000 0.500 Sb
0.762 0.762 0.000 Sb
```

Most intense lines, 5° ≤ 2θ ≤ 70°, in order of falling intensity:
- 43.2°, rel. 100.0
- 30.1°, rel. 51.7
- 43.1°, rel. 51.2
- 30.3°, rel. 24.6
- 53.5°, rel. 20.9
- 16.7°, rel. 20.3
- 62.5°, rel. 16.4
- 26.0°, rel. 16.2


Entry 11:
For Cu7Ag, the PBE geometry in OQMD gives the calculated powder diffraction line list in this record (copper Kα).

Atomic structure:
```
Cu7Ag
1.0
4.529 -2.619 0.000
4.529 2.619 0.000
-1.516 0.000 4.239
Cu Ag
7 1
direct
0.000 0.000 0.000 Cu
0.000 0.500 0.000 Cu
0.240 0.760 0.500 Cu
0.245 0.245 0.488 Cu
0.500 0.000 0.000 Cu
0.755 0.755 0.512 Cu
0.760 0.240 0.500 Cu
0.500 0.500 0.000 Ag
```

Most intense lines, 5° ≤ 2θ ≤ 70°, in order of falling intensity:
- 42.3°, rel. 100.0
- 49.4°, rel. 62.1
- 42.7°, rel. 32.5
- 31.6°, rel. 1.9
- 26.3°, rel. 1.5
- 35.9°, rel. 1.4
- 19.9°, rel. 1.2
- 20.8°, rel. 1.2